The following is a calculated PXRD pattern of Ta2Be2O5. It was derived from a crystal structure in the Materials Project, relaxed with PBE, using Cu Kα.
Kinematic intensities with the Lorentz-polarization factor, no thermal factor.

Atomic structure:
a b c (Å): 3.5326 3.5326 6.4290
angles (deg): 90.00 90.00 90.00
Positions (direct):
Ta: 0.0000 0.0000 0.0000
Ta: 0.0000 0.0000 0.5000
Be: 0.5000 0.5000 0.2456
Be: 0.5000 0.5000 0.7544
O: 0.0000 0.5000 0.2980
O: 0.0000 0.5000 0.7020
O: 0.5000 0.0000 0.2980
O: 0.5000 0.0000 0.7020
O: 0.5000 0.5000 0.0000

Main lines, sorted by position (5° ≤ 2θ ≤ 70°):
index, Position (°2θ), I (rel.)
1 0 0, 25.21, 100
0 0 2, 27.75, 34
1 1 0, 35.95, 39
1 0 2, 37.84, 82
1 1 2, 46.01, 64
2 1 2, 65.88, 34